No. 1
Theoretical powder X-ray diffraction pattern of Ag3As2C3Se5N for Cu Ka, from a crystal structure in the Materials Project, relaxed with GGA-PBE.
Intensities are scaled so that the largest is 100.

The 6 most intense peaks (2θ from 5° to 70°), low angle first:
| two_theta | Rel. int. |
| --- | --- |
| 7.40 | 100 |
| 14.84 | 11 |
| 17.54 | 5 |
| 22.34 | 10 |
| 25.93 | 12 |
| 26.87 | 8 |

Atomic structure:
```
data_Ag3As2C3Se5N
_space_group_name_H-M_alt 'P 1'
_space_group_IT_number 1
_cell_length_a 6.878
_cell_length_b 10.583
_cell_length_c 12.384
_cell_angle_alpha 86.85
_cell_angle_beta 74.71
_cell_angle_gamma 71.66
loop_
_space_group_symop_operation_xyz
'x,y,z'
loop_
_atom_site_label
_atom_site_type_symbol
_atom_site_fract_x
_atom_site_fract_y
_atom_site_fract_z
_atom_site_occupancy
Ag1 Ag 0.047 0.119 0.439 1
Ag2 Ag 0.157 0.432 0.685 1
Ag3 Ag 0.297 0.689 0.313 1
Ag4 Ag 0.703 0.311 0.687 1
Ag5 Ag 0.843 0.568 0.315 1
Ag6 Ag 0.953 0.881 0.561 1
As1 As 0.365 0.309 0.414 1
As2 As 0.399 0.087 0.614 1
As3 As 0.601 0.913 0.386 1
As4 As 0.635 0.691 0.586 1
C1 C 0.182 0.749 0.877 1
C2 C 0.185 0.714 0.783 1
C3 C 0.211 0.822 0.058 1
C4 C 0.789 0.178 0.942 1
C5 C 0.815 0.286 0.217 1
C6 C 0.818 0.251 0.123 1
Se1 Se 0.034 0.085 0.654 1
Se2 Se 0.244 0.670 0.636 1
Se3 Se 0.250 0.462 0.279 1
Se4 Se 0.378 0.227 0.767 1
Se5 Se 0.424 0.119 0.294 1
Se6 Se 0.576 0.881 0.706 1
Se7 Se 0.622 0.773 0.233 1
Se8 Se 0.750 0.538 0.721 1
Se9 Se 0.756 0.330 0.364 1
Se10 Se 0.966 0.915 0.346 1
N1 N 0.187 0.786 0.974 1
N2 N 0.813 0.214 0.026 1
```

No. 2
Theoretical powder X-ray diffraction pattern of CaAcMg2 for Cu Ka, from a crystal structure in the Materials Project, relaxed with GGA-PBE.
Intensities are scaled so that the largest is 100.

The 6 most intense peaks (2θ from 5° to 70°), low angle first:
| two_theta | Rel. int. |
| --- | --- |
| 18.97 | 69 |
| 21.93 | 53 |
| 31.22 | 100 |
| 36.78 | 42 |
| 50.35 | 24 |
| 55.55 | 39 |

Atomic structure:
```
data_CaAcMg2
_space_group_name_H-M_alt 'P 1'
_space_group_IT_number 1
_cell_length_a 5.731
_cell_length_b 5.731
_cell_length_c 5.731
_cell_angle_alpha 60.00
_cell_angle_beta 60.00
_cell_angle_gamma 60.00
loop_
_space_group_symop_operation_xyz
'x,y,z'
loop_
_atom_site_label
_atom_site_type_symbol
_atom_site_fract_x
_atom_site_fract_y
_atom_site_fract_z
_atom_site_occupancy
Ca1 Ca 0.000 0.000 0.000 1
Ac1 Ac 0.500 0.500 0.500 1
Mg1 Mg 0.250 0.250 0.250 1
Mg2 Mg 0.750 0.750 0.750 1
```

No. 3
Theoretical powder X-ray diffraction pattern of CeRhO3 for Cu Ka, from a crystal structure in the Materials Project, relaxed with GGA-PBE.
Intensities are scaled so that the largest is 100.

The 6 most intense peaks (2θ from 5° to 70°), low angle first:
| two_theta | Rel. int. |
| --- | --- |
| 24.93 | 21 |
| 29.69 | 18 |
| 32.11 | 100 |
| 33.05 | 24 |
| 49.90 | 14 |
| 58.44 | 20 |

Atomic structure:
```
data_CeRhO3
_space_group_name_H-M_alt 'P 1'
_space_group_IT_number 1
_cell_length_a 6.017
_cell_length_b 7.726
_cell_length_c 5.420
_cell_angle_alpha 90.00
_cell_angle_beta 90.00
_cell_angle_gamma 90.00
loop_
_space_group_symop_operation_xyz
'x,y,z'
loop_
_atom_site_label
_atom_site_type_symbol
_atom_site_fract_x
_atom_site_fract_y
_atom_site_fract_z
_atom_site_occupancy
Ce1 Ce 0.087 0.250 0.031 1
Ce2 Ce 0.413 0.750 0.531 1
Ce3 Ce 0.587 0.250 0.469 1
Ce4 Ce 0.913 0.750 0.969 1
Rh1 Rh 0.000 0.000 0.500 1
Rh2 Rh 0.000 0.500 0.500 1
Rh3 Rh 0.500 0.000 0.000 1
Rh4 Rh 0.500 0.500 0.000 1
O1 O 0.052 0.750 0.362 1
O2 O 0.190 0.564 0.824 1
O3 O 0.190 0.936 0.824 1
O4 O 0.310 0.064 0.324 1
O5 O 0.310 0.436 0.324 1
O6 O 0.448 0.250 0.862 1
O7 O 0.552 0.750 0.138 1
O8 O 0.690 0.564 0.676 1
O9 O 0.690 0.936 0.676 1
O10 O 0.810 0.064 0.176 1
O11 O 0.810 0.436 0.176 1
O12 O 0.948 0.250 0.638 1
```

No. 4
Theoretical powder X-ray diffraction pattern of Gd2ZnRu for Cu Ka, from a crystal structure in the Materials Project, relaxed with GGA-PBE.
Intensities are scaled so that the largest is 100.

The 6 most intense peaks (2θ from 5° to 70°), low angle first:
| two_theta | Rel. int. |
| --- | --- |
| 25.38 | 9 |
| 36.19 | 100 |
| 44.72 | 3 |
| 52.12 | 17 |
| 58.83 | 4 |
| 65.09 | 35 |

Atomic structure:
```
data_Gd2ZnRu
_space_group_name_H-M_alt 'P 1'
_space_group_IT_number 1
_cell_length_a 4.964
_cell_length_b 4.964
_cell_length_c 4.964
_cell_angle_alpha 60.00
_cell_angle_beta 60.00
_cell_angle_gamma 60.00
loop_
_space_group_symop_operation_xyz
'x,y,z'
loop_
_atom_site_label
_atom_site_type_symbol
_atom_site_fract_x
_atom_site_fract_y
_atom_site_fract_z
_atom_site_occupancy
Gd1 Gd 0.250 0.250 0.250 1
Gd2 Gd 0.750 0.750 0.750 1
Zn1 Zn 0.000 0.000 0.000 1
Ru1 Ru 0.500 0.500 0.500 1
```

No. 5
Theoretical powder X-ray diffraction pattern of LiTiSiO4 for Cu Ka, from a crystal structure in the Materials Project, relaxed with GGA-PBE.
Intensities are scaled so that the largest is 100.

The 6 most intense peaks (2θ from 5° to 70°), low angle first:
| two_theta | Rel. int. |
| --- | --- |
| 15.46 | 47 |
| 24.52 | 66 |
| 36.53 | 55 |
| 36.75 | 100 |
| 44.72 | 45 |
| 64.81 | 67 |

Atomic structure:
```
data_LiTiSiO4
_space_group_name_H-M_alt 'P 1'
_space_group_IT_number 1
_cell_length_a 5.732
_cell_length_b 5.732
_cell_length_c 8.169
_cell_angle_alpha 90.00
_cell_angle_beta 90.00
_cell_angle_gamma 90.00
loop_
_space_group_symop_operation_xyz
'x,y,z'
loop_
_atom_site_label
_atom_site_type_symbol
_atom_site_fract_x
_atom_site_fract_y
_atom_site_fract_z
_atom_site_occupancy
Li1 Li 0.000 0.221 0.000 1
Li2 Li 0.000 0.779 0.500 1
Li3 Li 0.221 0.000 0.250 1
Li4 Li 0.779 0.000 0.750 1
Ti1 Ti 0.244 0.500 0.250 1
Ti2 Ti 0.500 0.244 0.000 1
Ti3 Ti 0.500 0.756 0.500 1
Ti4 Ti 0.756 0.500 0.750 1
Si1 Si 0.248 0.248 0.625 1
Si2 Si 0.248 0.752 0.875 1
Si3 Si 0.752 0.248 0.375 1
Si4 Si 0.752 0.752 0.125 1
O1 O 0.011 0.258 0.739 1
O2 O 0.011 0.742 0.761 1
O3 O 0.256 0.487 0.506 1
O4 O 0.256 0.513 0.994 1
O5 O 0.258 0.011 0.511 1
O6 O 0.258 0.989 0.989 1
O7 O 0.487 0.256 0.744 1
O8 O 0.487 0.744 0.756 1
O9 O 0.513 0.256 0.256 1
O10 O 0.513 0.744 0.244 1
O11 O 0.742 0.011 0.489 1
O12 O 0.742 0.989 0.011 1
O13 O 0.744 0.487 0.494 1
O14 O 0.744 0.513 0.006 1
O15 O 0.989 0.258 0.261 1
O16 O 0.989 0.742 0.239 1
```

No. 6
Theoretical powder X-ray diffraction pattern of DyYIr2 for Cu Ka, from a crystal structure in the Materials Project, relaxed with GGA-PBE.
Intensities are scaled so that the largest is 100.

The 6 most intense peaks (2θ from 5° to 70°), low angle first:
| two_theta | Rel. int. |
| --- | --- |
| 22.41 | 3 |
| 25.93 | 5 |
| 37.00 | 100 |
| 53.33 | 18 |
| 60.23 | 2 |
| 66.68 | 36 |

Atomic structure:
```
data_DyYIr2
_space_group_name_H-M_alt 'P 1'
_space_group_IT_number 1
_cell_length_a 4.859
_cell_length_b 4.859
_cell_length_c 4.859
_cell_angle_alpha 60.00
_cell_angle_beta 60.00
_cell_angle_gamma 60.00
loop_
_space_group_symop_operation_xyz
'x,y,z'
loop_
_atom_site_label
_atom_site_type_symbol
_atom_site_fract_x
_atom_site_fract_y
_atom_site_fract_z
_atom_site_occupancy
Dy1 Dy 0.000 0.000 0.000 1
Y1 Y 0.500 0.500 0.500 1
Ir1 Ir 0.250 0.250 0.250 1
Ir2 Ir 0.750 0.750 0.750 1
```

No. 7
Theoretical powder X-ray diffraction pattern of Zn3P2 for Cu Ka, from a crystal structure in the Materials Project, relaxed with GGA-PBE.
Intensities are scaled so that the largest is 100.

The 6 most intense peaks (2θ from 5° to 70°), low angle first:
| two_theta | Rel. int. |
| --- | --- |
| 26.91 | 18 |
| 29.11 | 17 |
| 31.17 | 44 |
| 32.16 | 25 |
| 34.05 | 15 |
| 44.66 | 100 |

Atomic structure:
```
data_Zn3P2
_space_group_name_H-M_alt 'P 1'
_space_group_IT_number 1
_cell_length_a 8.121
_cell_length_b 8.121
_cell_length_c 11.467
_cell_angle_alpha 90.00
_cell_angle_beta 90.00
_cell_angle_gamma 90.00
loop_
_space_group_symop_operation_xyz
'x,y,z'
loop_
_atom_site_label
_atom_site_type_symbol
_atom_site_fract_x
_atom_site_fract_y
_atom_site_fract_z
_atom_site_occupancy
Zn1 Zn 0.003 0.750 0.102 1
Zn2 Zn 0.033 0.250 0.635 1
Zn3 Zn 0.033 0.750 0.644 1
Zn4 Zn 0.250 0.033 0.135 1
Zn5 Zn 0.250 0.467 0.135 1
Zn6 Zn 0.250 0.503 0.398 1
Zn7 Zn 0.250 0.533 0.856 1
Zn8 Zn 0.250 0.967 0.856 1
Zn9 Zn 0.250 0.997 0.398 1
Zn10 Zn 0.467 0.250 0.635 1
Zn11 Zn 0.467 0.750 0.644 1
Zn12 Zn 0.497 0.750 0.102 1
Zn13 Zn 0.503 0.250 0.898 1
Zn14 Zn 0.533 0.250 0.356 1
Zn15 Zn 0.533 0.750 0.365 1
Zn16 Zn 0.750 0.003 0.602 1
Zn17 Zn 0.750 0.033 0.144 1
Zn18 Zn 0.750 0.467 0.144 1
Zn19 Zn 0.750 0.497 0.602 1
Zn20 Zn 0.750 0.533 0.865 1
Zn21 Zn 0.750 0.967 0.865 1
Zn22 Zn 0.967 0.250 0.356 1
Zn23 Zn 0.967 0.750 0.365 1
Zn24 Zn 0.997 0.250 0.898 1
P1 P 0.004 0.504 0.250 1
P2 P 0.004 0.996 0.250 1
P3 P 0.250 0.250 0.496 1
P4 P 0.250 0.250 0.996 1
P5 P 0.250 0.750 0.504 1
P6 P 0.250 0.750 0.996 1
P7 P 0.496 0.504 0.250 1
P8 P 0.496 0.996 0.250 1
P9 P 0.504 0.004 0.750 1
P10 P 0.504 0.496 0.750 1
P11 P 0.750 0.250 0.004 1
P12 P 0.750 0.250 0.496 1
P13 P 0.750 0.750 0.004 1
P14 P 0.750 0.750 0.504 1
P15 P 0.996 0.004 0.750 1
P16 P 0.996 0.496 0.750 1
```

No. 8
Theoretical powder X-ray diffraction pattern of GaCuPt2 for Cu Ka, from a crystal structure in the Materials Project, relaxed with GGA-PBE.
Intensities are scaled so that the largest is 100.

The 6 most intense peaks (2θ from 5° to 70°), low angle first:
| two_theta | Rel. int. |
| --- | --- |
| 24.92 | 18 |
| 31.47 | 20 |
| 40.55 | 100 |
| 45.10 | 37 |
| 51.12 | 13 |
| 65.69 | 12 |

Atomic structure:
```
data_GaCuPt2
_space_group_name_H-M_alt 'P 1'
_space_group_IT_number 1
_cell_length_a 4.020
_cell_length_b 4.020
_cell_length_c 3.574
_cell_angle_alpha 90.00
_cell_angle_beta 90.00
_cell_angle_gamma 90.00
loop_
_space_group_symop_operation_xyz
'x,y,z'
loop_
_atom_site_label
_atom_site_type_symbol
_atom_site_fract_x
_atom_site_fract_y
_atom_site_fract_z
_atom_site_occupancy
Ga1 Ga 0.000 0.000 0.000 1
Cu1 Cu 0.500 0.500 0.000 1
Pt1 Pt 0.000 0.500 0.500 1
Pt2 Pt 0.500 0.000 0.500 1
```

No. 9
Theoretical powder X-ray diffraction pattern of ZnF2 for Cu Ka, from a crystal structure in the Materials Project, relaxed with GGA-PBE.
Intensities are scaled so that the largest is 100.

The 6 most intense peaks (2θ from 5° to 70°), low angle first:
| two_theta | Rel. int. |
| --- | --- |
| 26.24 | 100 |
| 33.77 | 61 |
| 38.76 | 14 |
| 51.31 | 68 |
| 54.01 | 19 |
| 65.23 | 24 |

Atomic structure:
```
data_ZnF2
_space_group_name_H-M_alt 'P 1'
_space_group_IT_number 1
_cell_length_a 4.803
_cell_length_b 4.803
_cell_length_c 3.185
_cell_angle_alpha 90.00
_cell_angle_beta 90.00
_cell_angle_gamma 90.00
loop_
_space_group_symop_operation_xyz
'x,y,z'
loop_
_atom_site_label
_atom_site_type_symbol
_atom_site_fract_x
_atom_site_fract_y
_atom_site_fract_z
_atom_site_occupancy
Zn1 Zn 0.000 0.000 0.000 1
Zn2 Zn 0.500 0.500 0.500 1
F1 F 0.196 0.196 0.500 1
F2 F 0.304 0.696 0.000 1
F3 F 0.696 0.304 0.000 1
F4 F 0.804 0.804 0.500 1
```